GdHoZnSn: theoretical X-ray powder pattern (Cu Kα (λ = 1.5418 Å)), based on a crystal structure in Alexandria, relaxed with PBE.
Lines closer than 0.1° are merged.

The 10 most intense peaks (10° ≤ 2θ ≤ 80°), by intensity:
2θ/deg, I (rel.)
34.5, 100
61.8, 37
49.6, 18
72.7, 12
24.2, 7
55.9, 3
42.6, 2
20.9, 2
77.9, 1
40.7, 1

Crystal structure
a = 5.201 Å, b = 5.201 Å, c = 5.201 Å
α = 60.00°, β = 60.00°, γ = 60.00°
Sites, in units of the cell vectors:
Gd  0.000  0.000  0.000
Ho  0.500  0.500  0.500
Zn  0.250  0.250  0.250
Sn  0.750  0.750  0.750



Rb2NpPO6: theoretical X-ray powder pattern (Cu Kα (λ = 1.5418 Å)), based on a crystal structure in Alexandria, relaxed with PBE.
Lines closer than 0.1° are merged.

The 10 most intense peaks (10° ≤ 2θ ≤ 80°), by intensity:
2θ/deg, I (rel.)
28.4, 100
18.0, 61
32.0, 36
37.0, 30
54.8, 30
34.6, 21
45.9, 20
47.8, 20
58.7, 16
58.3, 16

Crystal structure
a = 6.521 Å, b = 6.521 Å, c = 6.521 Å
α = 129.20°, β = 129.20°, γ = 74.69°
Sites, in units of the cell vectors:
Rb  0.250  0.750  0.500
Rb  0.750  0.250  0.500
Np  0.000  0.000  0.000
P  0.500  0.500  0.000
O  0.183  0.183  0.000
O  0.294  0.294  0.588
O  0.294  0.706  0.000
O  0.706  0.294  0.000
O  0.706  0.706  0.412
O  0.817  0.817  0.000



Pr2SmCu2Sn2: theoretical X-ray powder pattern (Cu Kα (λ = 1.5418 Å)), based on a crystal structure in Alexandria, relaxed with PBE.
Lines closer than 0.1° are merged.

The 10 most intense peaks (10° ≤ 2θ ≤ 80°), by intensity:
2θ/deg, I (rel.)
39.1, 100
33.2, 99
30.9, 89
62.2, 44
22.5, 28
52.2, 27
67.1, 26
50.7, 23
65.8, 21
46.4, 18

Crystal structure
a = 10.146 Å, b = 10.146 Å, c = 10.146 Å
α = 26.24°, β = 26.24°, γ = 26.24°
Sites, in units of the cell vectors:
Pr  0.127  0.127  0.127
Pr  0.873  0.873  0.873
Sm  0.000  0.000  0.000
Cu  0.397  0.397  0.397
Cu  0.603  0.603  0.603
Sn  0.268  0.268  0.268
Sn  0.732  0.732  0.732